1.
This entry pairs a crystal structure of TmAgPbSeS2 with its computed powder XRD pattern. Radiation: Cu Kα, 1.54184 Å. Structure: a cell relaxed with PBE.

Cell and atoms:
```
12
Lattice="2.0037 -6.7087 0.0000 2.0037 6.7087 0.0000 0.0000 0.0000 10.6579" Properties=species:S:1:pos:R:3 pbc="T T T"
Tm 0.0000 0.0000 0.0000
Tm 0.0000 0.0000 5.3290
Ag 2.0037 0.5215 7.9934
Ag 2.0037 -0.5215 2.6645
Pb 2.0037 3.5265 2.6645
Pb 2.0037 -3.5265 7.9934
Se 2.0037 5.4498 7.9934
Se 2.0037 -5.4498 2.6645
S 2.0037 1.7995 5.8661
S 2.0037 1.7995 10.1208
S 2.0037 -1.7995 0.5371
S 2.0037 -1.7995 4.7918
```

The 10 most intense peaks (5° ≤ 2θ ≤ 70°), low angle first:
- 16.64°, I = 24
- 21.29°, I = 51
- 26.57°, I = 25
- 31.12°, I = 100
- 33.64°, I = 52
- 34.43°, I = 92
- 39.43°, I = 41
- 43.91°, I = 27
- 45.26°, I = 26
- 52.77°, I = 26



2.
This entry pairs a crystal structure of BaSmGaSe3 with its computed powder XRD pattern. Radiation: Cu Kα, 1.54184 Å. Structure: a cell relaxed with PBE.

Cell and atoms:
```
12
Lattice="2.2184 -7.2815 0.0000 2.2184 7.2815 0.0000 0.0000 0.0000 11.0759" Properties=species:S:1:pos:R:3 pbc="T T T"
Ba 2.2184 3.6783 8.3069
Ba 2.2184 -3.6783 2.7690
Sm 0.0000 0.0000 0.0000
Sm 0.0000 0.0000 5.5379
Ga 2.2184 0.4085 2.7690
Ga 2.2184 -0.4085 8.3069
Se 2.2184 6.0125 2.7690
Se 2.2184 2.0043 0.4146
Se 2.2184 2.0043 5.1234
Se 2.2184 -2.0043 5.9525
Se 2.2184 -2.0043 10.6613
Se 2.2184 -6.0125 8.3069
```

The 10 most intense peaks (5° ≤ 2θ ≤ 70°), low angle first:
- 20.14°, I = 30
- 27.23°, I = 27
- 28.42°, I = 80
- 31.74°, I = 100
- 32.33°, I = 55
- 40.47°, I = 42
- 40.63°, I = 69
- 49.69°, I = 24
- 52.89°, I = 29
- 58.81°, I = 21



3.
This entry pairs a crystal structure of LiPmNO with its computed powder XRD pattern. Radiation: Cu Kα, 1.54184 Å. Structure: a cell relaxed with PBE.

Cell and atoms:
```
16
Lattice="6.7357 0.0000 0.0000 0.0000 5.8419 0.0000 0.0000 0.0000 4.7326" Properties=species:S:1:pos:R:3 pbc="T T T"
Li 0.6834 0.0936 1.1832
Li 0.6834 2.8274 3.5495
Li 6.0522 3.0145 1.1832
Li 6.0522 5.7483 3.5495
Pm 1.9661 0.1169 3.5495
Pm 1.9661 2.8041 1.1832
Pm 4.7696 3.0378 3.5495
Pm 4.7696 5.7250 1.1832
N 0.2357 4.3814 0.0000
N 0.2357 4.3814 2.3663
N 6.5000 1.4605 0.0000
N 6.5000 1.4605 2.3663
O 2.5385 0.4827 1.1832
O 2.5385 2.4382 3.5495
O 4.1972 3.4036 1.1832
O 4.1972 5.3592 3.5495
```

The 10 most intense peaks (5° ≤ 2θ ≤ 70°), low angle first:
- 26.47°, I = 22
- 27.64°, I = 100
- 30.61°, I = 25
- 36.16°, I = 13
- 38.03°, I = 16
- 40.90°, I = 19
- 46.93°, I = 14
- 47.44°, I = 19
- 49.58°, I = 17
- 52.61°, I = 17



4.
This entry pairs a crystal structure of Na2SiPd3 with its computed powder XRD pattern. Radiation: Cu Kα, 1.54184 Å. Structure: a cell relaxed with PBE.

Cell and atoms:
```
6
Lattice="2.7976 1.6152 3.7853 -2.7976 1.6152 3.7853 0.0000 -3.2304 3.7853" Properties=species:S:1:pos:R:3 pbc="T T T"
Na 0.0000 0.0000 1.3746
Na 0.0000 0.0000 9.9814
Si 0.0000 0.0000 5.6780
Pd -1.3988 -0.8076 3.7853
Pd -1.3988 0.8076 7.5707
Pd 0.0000 1.6152 3.7853
```

The 10 most intense peaks (5° ≤ 2θ ≤ 70°), low angle first:
- 19.92°, I = 51
- 23.50°, I = 74
- 37.97°, I = 100
- 40.08°, I = 44
- 40.48°, I = 96
- 44.03°, I = 18
- 48.07°, I = 18
- 49.46°, I = 39
- 55.45°, I = 20
- 66.89°, I = 26



5.
This entry pairs a crystal structure of Ta4Te9I4O with its computed powder XRD pattern. Radiation: Cu Kα, 1.54184 Å. Structure: a cell relaxed with PBE.

Cell and atoms:
```
36
Lattice="11.3722 -3.1328 0.0000 11.3722 3.1328 0.0000 -11.0763 0.0000 17.6898" Properties=species:S:1:pos:R:3 pbc="T T T"
Ta -2.5348 0.3773 6.3699
Ta -8.0730 -0.3773 15.2148
Ta 1.2456 1.2710 13.4900
Ta 4.8843 1.2710 13.0447
Ta 6.7838 -1.2710 4.6451
Ta 10.4224 -1.2710 4.1998
Ta 19.7411 0.3773 2.4750
Ta 14.2029 -0.3773 11.3199
Te -5.6335 0.0137 11.1145
Te -0.0953 -0.0137 2.2696
Te -5.2028 0.0127 14.7246
Te 0.3353 -0.0127 5.8797
Te 0.9035 0.8528 10.6250
Te 4.5348 0.8576 10.1830
Te 8.6031 0.9824 4.4224
Te 1.5951 0.8576 16.3517
Te 6.4416 -0.8528 1.7801
Te 5.2264 0.8528 15.9097
Te 10.0730 -0.8576 1.3381
Te 3.0649 -0.9824 13.2673
Te 7.1332 -0.8576 7.5068
Te 10.7646 -0.8528 7.0648
Te 11.3327 0.0127 11.8101
Te 16.8709 -0.0127 2.9652
Te 11.7633 0.0137 15.4202
Te 17.3015 -0.0137 6.5753
I 8.1071 1.8994 0.1875
I 4.4762 0.3406 4.9218
I 9.0991 1.8994 8.6574
I -1.0619 -0.3406 13.7667
I 12.7300 0.3406 3.9231
I 2.5689 -1.8994 9.0324
I 7.1918 -0.3406 12.7680
I 3.5610 -1.8994 17.5023
O 3.0649 2.4335 13.2673
O 8.6031 -2.4335 4.4224
```

The 10 most intense peaks (5° ≤ 2θ ≤ 70°), low angle first:
- 9.18°, I = 100
- 9.32°, I = 95
- 10.00°, I = 54
- 14.88°, I = 41
- 16.46°, I = 27
- 24.35°, I = 50
- 27.01°, I = 63
- 31.14°, I = 61
- 36.13°, I = 30
- 37.26°, I = 32



6.
This entry pairs a crystal structure of DyNb with its computed powder XRD pattern. Radiation: Cu Kα, 1.54184 Å. Structure: a cell relaxed with PBE.

Cell and atoms:
```
2
Lattice="3.2059 0.0000 0.0000 -1.6030 2.7764 0.0000 0.0000 0.0000 5.2721" Properties=species:S:1:pos:R:3 pbc="T T T"
Dy 0.0000 0.0000 0.0000
Nb 1.6030 0.9255 2.6360
```

The 10 most intense peaks (5° ≤ 2θ ≤ 70°), low angle first:
- 16.82°, I = 9
- 32.24°, I = 27
- 34.01°, I = 27
- 36.58°, I = 100
- 47.57°, I = 19
- 57.49°, I = 17
- 60.35°, I = 2
- 62.55°, I = 21
- 67.47°, I = 3
- 68.51°, I = 21



7.
This entry pairs a crystal structure of YBi2Ir with its computed powder XRD pattern. Radiation: Cu Kα, 1.54184 Å. Structure: a cell relaxed with PBE.

Cell and atoms:
```
4
Lattice="0.0000 3.6680 3.6680 3.6680 0.0000 3.6680 3.6680 3.6680 0.0000" Properties=species:S:1:pos:R:3 pbc="T T T"
Y 0.0000 0.0000 0.0000
Bi 1.8340 1.8340 1.8340
Bi 3.6680 3.6680 3.6680
Ir 5.5020 5.5020 5.5020
```

The 10 most intense peaks (5° ≤ 2θ ≤ 70°), low angle first:
- 20.97°, I = 6
- 24.27°, I = 2
- 34.58°, I = 100
- 40.80°, I = 4
- 42.70°, I = 1
- 49.71°, I = 18
- 54.52°, I = 2
- 56.06°, I = 1
- 61.97°, I = 38
- 66.19°, I = 1



8.
This entry pairs a crystal structure of Ta3AgBi5 with its computed powder XRD pattern. Radiation: Cu Kα, 1.54184 Å. Structure: a cell relaxed with PBE.

Cell and atoms:
```
9
Lattice="5.7959 0.0000 0.0000 -2.8979 5.0194 0.0000 0.0000 0.0000 8.7829" Properties=species:S:1:pos:R:3 pbc="T T T"
Ta -1.4490 2.5097 0.0000
Ta 2.8979 0.0000 0.0000
Ta 1.4490 2.5097 0.0000
Ag 0.0000 0.0000 4.3914
Bi 0.0000 0.0000 0.0000
Bi 0.0000 3.3463 2.5429
Bi 0.0000 3.3463 6.2400
Bi 2.8979 1.6731 2.5429
Bi 2.8979 1.6731 6.2400
```

The 10 most intense peaks (5° ≤ 2θ ≤ 70°), low angle first:
- 10.07°, I = 58
- 17.67°, I = 21
- 26.98°, I = 53
- 30.53°, I = 36
- 30.86°, I = 69
- 37.23°, I = 80
- 41.11°, I = 20
- 41.44°, I = 100
- 64.29°, I = 27
- 64.78°, I = 19



9.
This entry pairs a crystal structure of RbNbS2O9 with its computed powder XRD pattern. Radiation: Cu Kα, 1.54184 Å. Structure: a cell relaxed with PBE.

Cell and atoms:
```
52
Lattice="16.6913 0.0000 0.0000 0.0000 5.1884 0.0000 0.0000 0.0000 8.6490" Properties=species:S:1:pos:R:3 pbc="T T T"
Rb 1.0326 1.2971 1.3354
Rb 7.3131 3.8913 5.6599
Rb 9.3782 1.2971 2.9891
Rb 15.6588 3.8913 7.3136
Nb 3.1852 3.8913 4.9854
Nb 5.1605 1.2971 0.6609
Nb 11.5308 3.8913 7.9881
Nb 13.5062 1.2971 3.6636
S 1.0601 1.2971 5.4555
S 3.1713 3.8913 8.4676
S 5.1744 1.2971 4.1431
S 7.2856 3.8913 1.1310
S 9.4057 1.2971 7.5180
S 11.5170 3.8913 4.5059
S 13.5200 1.2971 0.1814
S 15.6313 3.8913 3.1935
O 0.0331 1.2971 6.4732
O 0.6556 1.2971 4.0758
O 1.7290 3.8913 8.3936
O 1.9880 0.1154 5.7500
O 1.9880 2.4788 5.7500
O 2.6915 3.8913 3.3266
O 3.6123 2.6832 0.6198
O 3.6123 5.0994 0.6198
O 3.9052 3.8913 7.2017
O 4.4404 1.2971 2.8772
O 4.7334 0.0890 4.9443
O 4.7334 2.5052 4.9443
O 5.6542 1.2971 7.6511
O 6.3577 2.7096 1.4255
O 6.3577 5.0730 1.4255
O 6.6167 1.2971 4.0691
O 7.6900 3.8913 8.4003
O 8.3125 3.8913 2.1487
O 8.3788 1.2971 6.5003
O 9.0013 1.2971 0.2487
O 10.0747 3.8913 4.5799
O 10.3337 0.1154 7.2235
O 10.3337 2.4788 7.2235
O 11.0371 3.8913 0.9979
O 11.9579 2.6832 3.7047
O 11.9579 5.0994 3.7047
O 12.2509 3.8913 5.7718
O 12.7861 1.2971 1.4473
O 13.0791 0.0890 8.0292
O 13.0791 2.5052 8.0292
O 13.9999 1.2971 5.3224
O 14.7033 2.7096 2.8990
O 14.7033 5.0730 2.8990
O 14.9623 1.2971 0.2554
O 16.0357 3.8913 4.5732
O 16.6582 3.8913 2.1758
```

The 10 most intense peaks (5° ≤ 2θ ≤ 70°), low angle first:
- 19.96°, I = 15
- 21.22°, I = 30
- 23.17°, I = 16
- 27.42°, I = 100
- 28.93°, I = 16
- 31.36°, I = 9
- 34.57°, I = 23
- 38.21°, I = 12
- 42.35°, I = 10
- 57.70°, I = 10



10.
This entry pairs a crystal structure of La5Ir3 with its computed powder XRD pattern. Radiation: Cu Kα, 1.54184 Å. Structure: a cell relaxed with PBE.

Cell and atoms:
```
32
Lattice="11.4204 0.0000 0.0000 0.0000 11.4204 0.0000 0.0000 0.0000 6.6656" Properties=species:S:1:pos:R:3 pbc="T T T"
La 0.4894 1.8014 0.7360
La 0.4894 3.9088 4.0688
La 1.8014 0.4894 4.0688
La 1.8014 5.2208 0.7360
La 2.8551 8.5653 0.0000
La 2.8551 8.5653 3.3328
La 3.9088 0.4894 0.7360
La 3.9088 5.2208 4.0688
La 5.2208 1.8014 4.0688
La 5.2208 3.9088 0.7360
La 6.1996 7.5116 5.9297
La 6.1996 9.6190 2.5968
La 7.5116 6.1996 2.5968
La 7.5116 10.9310 5.9297
La 8.5653 2.8551 0.0000
La 8.5653 2.8551 3.3328
La 9.6190 6.1996 5.9297
La 9.6190 10.9310 2.5968
La 10.9310 7.5116 2.5968
La 10.9310 9.6190 5.9297
Ir 1.0985 6.8087 4.9992
Ir 1.0985 10.3219 1.6664
Ir 2.8551 2.8551 2.4998
Ir 2.8551 2.8551 5.8326
Ir 4.6117 6.8087 1.6664
Ir 4.6117 10.3219 4.9992
Ir 6.8087 1.0985 1.6664
Ir 6.8087 4.6117 4.9992
Ir 8.5653 8.5653 0.8330
Ir 8.5653 8.5653 4.1658
Ir 10.3219 1.0985 4.9992
Ir 10.3219 4.6117 1.6664
```

The 10 most intense peaks (5° ≤ 2θ ≤ 70°), low angle first:
- 21.94°, I = 37
- 28.10°, I = 38
- 31.27°, I = 29
- 32.07°, I = 42
- 35.12°, I = 100
- 35.81°, I = 23
- 36.69°, I = 34
- 44.47°, I = 26
- 44.86°, I = 23
- 58.71°, I = 15



11.
This entry pairs a crystal structure of ZrW with its computed powder XRD pattern. Radiation: Cu Kα, 1.54184 Å. Structure: a cell relaxed with PBE.

Cell and atoms:
```
16
Lattice="4.7621 0.0000 0.0000 0.0000 6.6445 0.0000 0.0000 0.0000 9.5835" Properties=species:S:1:pos:R:3 pbc="T T T"
Zr 1.1905 0.0149 1.1764
Zr 1.1905 1.6611 3.6780
Zr 1.1905 1.6611 8.0729
Zr 1.1905 3.3074 1.1764
Zr 3.5716 3.3371 8.4072
Zr 3.5716 4.9834 1.5107
Zr 3.5716 4.9834 5.9056
Zr 3.5716 6.6296 8.4072
W 1.1905 3.3592 5.9174
W 1.1905 4.9834 3.7282
W 1.1905 4.9834 8.0892
W 1.1905 6.6076 5.9174
W 3.5716 0.0369 3.6662
W 3.5716 1.6611 1.4943
W 3.5716 1.6611 5.8554
W 3.5716 3.2853 3.6662
```

The 10 most intense peaks (5° ≤ 2θ ≤ 70°), low angle first:
- 9.23°, I = 21
- 22.94°, I = 9
- 37.54°, I = 22
- 37.78°, I = 27
- 37.99°, I = 100
- 54.32°, I = 15
- 55.30°, I = 9
- 68.04°, I = 12
- 68.36°, I = 18
- 68.93°, I = 9



- What is the formula in the eighth record?
  Ta3AgBi5